# Na17In11Pb
Theoretical powder XRD pattern, λ = 1.5418 Å (Cu Kα). Input: the GGA-PBE geometry in Alexandria.

Peak list (10 most intense, 10 to 90 degrees two-theta, by intensity)
(1 1 -2), 18.37 deg, I 100; (3 1 -4), 35.64 deg, I 52; (4 2 -2), 32.14 deg, I 51; (1 3 2), 32.06 deg, I 41; (0 6 2), 38.85 deg, I 38; (3 1 1), 35.49 deg, I 33; (0 2 0), 10.58 deg, I 29; (1 3 -1), 18.42 deg, I 25; (0 4 3), 38.73 deg, I 17; (2 6 -1), 35.70 deg, I 16

Structure:
```
data_Na17In11Pb
_chemical_formula_sum 'Na34 In22 Pb2'
_cell_length_a 11.8222
_cell_length_b 16.6745
_cell_length_c 10.2526
_cell_angle_alpha 90.00
_cell_angle_beta 125.05
_cell_angle_gamma 90.00
_symmetry_space_group_name_H-M 'C 1 m 1'
_symmetry_Int_Tables_number 8
loop_
_symmetry_equiv_pos_as_xyz
'x,y,z'
'x,-y,z'
'x+1/2,y+1/2,z'
'x+1/2,-y+1/2,z'
loop_
_atom_site_label
_atom_site_type_symbol
_atom_site_fract_x
_atom_site_fract_y
_atom_site_fract_z
_atom_site_occupancy
Na1 Na 0.0000 0.0000 0.0000 1
Na2 Na 0.0012 0.3440 0.9361 1
Na3 Na 0.0192 0.3272 0.3461 1
Na4 Na 0.0334 0.0000 0.6232 1
Na5 Na 0.1413 0.2055 0.6575 1
Na6 Na 0.2582 0.5000 0.0676 1
Na7 Na 0.2982 0.3600 0.3483 1
Na8 Na 0.3291 0.2949 0.0350 1
Na9 Na 0.3448 0.0000 0.6923 1
Na10 Na 0.3474 0.0000 0.3461 1
Na11 Na 0.4109 0.3437 0.7571 1
In1 In 0.0693 0.0924 0.3465 1
In2 In 0.1222 0.4075 0.7184 1
In3 In 0.1599 0.1852 0.1605 1
In4 In 0.2209 0.5000 0.5399 1
In5 In 0.2490 0.0926 0.9726 1
In6 In 0.3468 0.1848 0.5316 1
Pb1 Pb 0.0353 0.5000 0.1623 1
```